[1]
Theoretical powder X-ray diffraction pattern
Compound: NdGe2Pt5Au
Radiation: copper Kα
Structure: DFT lattice parameters and positions (GGA-PBE)
No peak broadening, texture or thermal motion is included.

Main lines, by intensity (2θ = 10–90°):
- 35.85°, I 100.0
- 43.08°, I 36.2
- 74.25°, I 23.8
- 59.19°, I 15.8
- 38.57°, I 13.5
- 62.56°, I 12.1
- 68.02°, I 11.9
- 42.06°, I 9.5
- 75.96°, I 7.7
- 57.30°, I 3.9

Lattice parameters (Å, degrees): 4.200 4.200 9.336 90.00 90.00 90.00
Fractional coordinates of all 9 atoms:
Nd 0.000 0.000 0.000
Ge 0.500 0.500 0.371
Ge 0.500 0.500 0.629
Pt 0.000 0.500 0.232
Pt 0.000 0.500 0.768
Pt 0.500 0.000 0.232
Pt 0.500 0.000 0.768
Pt 0.500 0.500 0.000
Au 0.000 0.000 0.500


[2]
Theoretical powder X-ray diffraction pattern
Compound: PmZr2N4
Radiation: copper Kα
Structure: DFT lattice parameters and positions (GGA-PBE)
No peak broadening, texture or thermal motion is included.

Main lines, by intensity (2θ = 10–90°):
- 31.27°, I 100.0
- 26.58°, I 44.8
- 49.96°, I 39.1
- 54.74°, I 36.6
- 77.25°, I 20.9
- 46.92°, I 18.1
- 32.70°, I 14.1
- 64.41°, I 12.5
- 89.47°, I 12.4
- 74.91°, I 9.7

Lattice parameters (Å, degrees): 6.707 6.707 6.707 119.97 119.97 90.04
Fractional coordinates of all 14 atoms:
Pm 0.375 0.625 0.750
Pm 0.625 0.375 0.250
Zr 0.000 0.000 0.000
Zr 0.000 0.000 0.500
Zr 0.000 0.500 0.000
Zr 0.500 0.000 0.500
N 0.202 0.234 0.968
N 0.234 0.202 0.468
N 0.234 0.766 0.032
N 0.234 0.766 0.468
N 0.766 0.234 0.532
N 0.766 0.234 0.968
N 0.766 0.798 0.532
N 0.798 0.766 0.032


[3]
Theoretical powder X-ray diffraction pattern
Compound: Th3CoP2Rh9
Radiation: copper Kα
Structure: DFT lattice parameters and positions (GGA-PBE)
No peak broadening, texture or thermal motion is included.

Main lines, by intensity (2θ = 10–90°):
- 37.05°, I 100.0
- 40.59°, I 96.0
- 27.89°, I 52.6
- 52.81°, I 32.2
- 64.35°, I 27.6
- 25.69°, I 24.0
- 71.53°, I 21.6
- 33.22°, I 17.7
- 60.77°, I 17.4
- 30.88°, I 16.9

Lattice parameters (Å, degrees): 5.791 5.791 9.597 90.00 90.00 120.00
Fractional coordinates of all 15 atoms:
Th 0.000 0.000 0.000
Th 0.333 0.667 0.617
Th 0.667 0.333 0.383
Co 0.000 0.000 0.500
P 0.333 0.667 0.161
P 0.667 0.333 0.839
Rh 0.000 0.500 0.000
Rh 0.164 0.328 0.313
Rh 0.164 0.836 0.313
Rh 0.328 0.164 0.687
Rh 0.500 0.000 0.000
Rh 0.500 0.500 0.000
Rh 0.672 0.836 0.313
Rh 0.836 0.164 0.687
Rh 0.836 0.672 0.687


[4]
Theoretical powder X-ray diffraction pattern
Compound: RbTa3Pd4Se12
Radiation: copper Kα
Structure: DFT lattice parameters and positions (GGA-PBE)
No peak broadening, texture or thermal motion is included.

Main lines, by intensity (2θ = 10–90°):
- 45.80°, I 100.0
- 11.79°, I 97.4
- 21.00°, I 85.3
- 32.88°, I 83.3
- 23.70°, I 77.4
- 25.44°, I 72.0
- 40.10°, I 54.7
- 43.46°, I 48.6
- 40.94°, I 34.2
- 49.05°, I 27.4

Lattice parameters (Å, degrees): 9.101 9.101 9.101 111.16 111.16 111.16
Fractional coordinates of all 20 atoms:
Rb 0.000 0.000 0.000
Ta 0.000 0.555 0.445
Ta 0.445 0.000 0.555
Ta 0.555 0.445 0.000
Pd 0.054 0.500 0.946
Pd 0.500 0.500 0.500
Pd 0.500 0.946 0.054
Pd 0.946 0.054 0.500
Se 0.107 0.893 0.500
Se 0.154 0.671 0.783
Se 0.217 0.329 0.846
Se 0.329 0.846 0.217
Se 0.335 0.665 0.500
Se 0.500 0.107 0.893
Se 0.500 0.335 0.665
Se 0.665 0.500 0.335
Se 0.671 0.783 0.154
Se 0.783 0.154 0.671
Se 0.846 0.217 0.329
Se 0.893 0.500 0.107


[5]
Theoretical powder X-ray diffraction pattern
Compound: Ba4Rh
Radiation: copper Kα
Structure: DFT lattice parameters and positions (GGA-PBE)
No peak broadening, texture or thermal motion is included.

Main lines, by intensity (2θ = 10–90°):
- 25.71°, I 100.0
- 26.09°, I 39.4
- 33.24°, I 26.5
- 40.38°, I 26.4
- 43.23°, I 23.8
- 23.97°, I 22.7
- 12.77°, I 21.7
- 33.55°, I 19.6
- 47.50°, I 14.0
- 48.03°, I 13.9

Lattice parameters (Å, degrees): 8.938 8.710 10.691 53.69 51.75 74.56
Fractional coordinates of all 10 atoms:
Ba 0.226 0.813 0.955
Ba 0.244 0.295 0.437
Ba 0.295 0.244 0.024
Ba 0.300 0.700 0.530
Ba 0.700 0.300 0.470
Ba 0.720 0.780 0.950
Ba 0.780 0.720 0.550
Ba 0.813 0.226 0.006
Rh 0.274 0.274 0.726
Rh 0.524 0.524 0.976


[6]
Theoretical powder X-ray diffraction pattern
Compound: PmSm4Sc
Radiation: copper Kα
Structure: DFT lattice parameters and positions (GGA-PBE)
No peak broadening, texture or thermal motion is included.

Main lines, by intensity (2θ = 10–90°):
- 31.43°, I 100.0
- 31.67°, I 67.9
- 31.81°, I 34.1
- 56.26°, I 24.2
- 45.31°, I 23.9
- 62.40°, I 19.3
- 56.59°, I 12.9
- 56.45°, I 12.7
- 45.17°, I 12.0
- 62.48°, I 9.8

Lattice parameters (Å, degrees): 5.626 7.003 9.800 90.00 90.01 90.00
Fractional coordinates of all 12 atoms:
Pm 0.245 0.250 0.090
Pm 0.755 0.750 0.910
Sm 0.247 0.750 0.421
Sm 0.251 0.501 0.740
Sm 0.251 0.999 0.740
Sm 0.254 0.750 0.082
Sm 0.746 0.250 0.918
Sm 0.749 0.001 0.260
Sm 0.749 0.499 0.260
Sm 0.753 0.250 0.579
Sc 0.253 0.250 0.417
Sc 0.747 0.750 0.583


[7]
Theoretical powder X-ray diffraction pattern
Compound: AuSeI2N
Radiation: copper Kα
Structure: DFT lattice parameters and positions (GGA-PBE)
No peak broadening, texture or thermal motion is included.

Main lines, by intensity (2θ = 10–90°):
- 29.62°, I 100.0
- 32.28°, I 79.4
- 28.58°, I 51.3
- 41.63°, I 38.2
- 42.39°, I 37.4
- 54.26°, I 36.0
- 59.16°, I 27.6
- 67.55°, I 18.5
- 69.73°, I 16.9
- 14.69°, I 16.4

Lattice parameters (Å, degrees): 6.031 6.031 3.651 90.00 90.00 90.00
Fractional coordinates of all 5 atoms:
Au 0.000 0.000 0.000
Se 0.500 0.500 0.500
I 0.000 0.500 0.500
I 0.500 0.000 0.500
N 0.500 0.500 0.000


[8]
Theoretical powder X-ray diffraction pattern
Compound: CaLaSiHg
Radiation: copper Kα
Structure: DFT lattice parameters and positions (GGA-PBE)
No peak broadening, texture or thermal motion is included.

Main lines, by intensity (2θ = 10–90°):
- 33.76°, I 100.0
- 20.49°, I 50.9
- 60.40°, I 37.1
- 39.82°, I 29.8
- 48.50°, I 18.0
- 80.99°, I 16.2
- 53.17°, I 13.2
- 71.02°, I 11.5
- 64.49°, I 10.0
- 74.81°, I 9.9

Lattice parameters (Å, degrees): 5.309 5.309 5.309 60.00 60.00 60.00
Fractional coordinates of all 4 atoms:
Ca 0.000 0.000 0.000
La 0.500 0.500 0.500
Si 0.250 0.250 0.250
Hg 0.750 0.750 0.750


[9]
Theoretical powder X-ray diffraction pattern
Compound: Tb2PmPr4Nd2
Radiation: copper Kα
Structure: DFT lattice parameters and positions (GGA-PBE)
No peak broadening, texture or thermal motion is included.

Main lines, by intensity (2θ = 10–90°):
- 31.00°, I 100.0
- 32.65°, I 86.0
- 30.23°, I 49.7
- 28.08°, I 35.9
- 58.97°, I 29.9
- 49.35°, I 25.5
- 56.29°, I 17.9
- 39.05°, I 15.5
- 28.69°, I 15.3
- 58.86°, I 15.1

Lattice parameters (Å, degrees): 9.764 9.764 9.843 115.19 115.19 21.86
Fractional coordinates of all 9 atoms:
Tb 0.148 0.148 0.169
Tb 0.852 0.852 0.831
Pm 0.000 0.000 0.500
Pr 0.186 0.186 0.832
Pr 0.482 0.482 0.165
Pr 0.518 0.518 0.835
Pr 0.814 0.814 0.168
Nd 0.333 0.333 0.502
Nd 0.667 0.667 0.498


[10]
Theoretical powder X-ray diffraction pattern
Compound: Cd6Pd5Pt
Radiation: copper Kα
Structure: DFT lattice parameters and positions (GGA-PBE)
No peak broadening, texture or thermal motion is included.

Main lines, by intensity (2θ = 10–90°):
- 38.01°, I 100.0
- 41.90°, I 50.5
- 37.88°, I 33.7
- 73.94°, I 18.0
- 48.39°, I 16.6
- 65.82°, I 12.8
- 65.96°, I 12.7
- 81.29°, I 10.5
- 83.36°, I 9.9
- 73.77°, I 9.1

Lattice parameters (Å, degrees): 4.840 6.087 7.185 90.00 97.41 90.00
Fractional coordinates of all 12 atoms:
Cd 0.000 0.250 0.000
Cd 0.000 0.750 0.000
Cd 0.331 0.250 0.667
Cd 0.331 0.750 0.667
Cd 0.669 0.250 0.333
Cd 0.669 0.750 0.333
Pd 0.168 0.000 0.335
Pd 0.170 0.500 0.334
Pd 0.500 0.000 0.000
Pd 0.830 0.500 0.666
Pd 0.832 0.000 0.665
Pt 0.500 0.500 0.000


[11]
Theoretical powder X-ray diffraction pattern
Compound: Ho2HfAl
Radiation: copper Kα
Structure: DFT lattice parameters and positions (GGA-PBE)
No peak broadening, texture or thermal motion is included.

Main lines, by intensity (2θ = 10–90°):
- 33.62°, I 100.0
- 37.71°, I 37.6
- 65.48°, I 29.3
- 70.69°, I 20.3
- 57.32°, I 20.2
- 28.38°, I 18.8
- 10.17°, I 18.5
- 54.39°, I 13.1
- 41.51°, I 13.0
- 49.47°, I 7.7

Lattice parameters (Å, degrees): 3.373 3.373 8.702 90.00 90.00 90.00
Fractional coordinates of all 4 atoms:
Ho 0.000 0.000 0.234
Ho 0.000 0.000 0.766
Hf 0.500 0.500 0.500
Al 0.500 0.500 0.000